For Li2PaTl3Te6, DFT lattice parameters and positions (PBE) gives the computed PXRD pattern in this record (Cu Kα (λ = 1.5418 Å)).

Structural model:
Cell: 7.6556 13.1987 7.9910 Å, 90.00 108.50 90.00°
Space group C2/m (No. 12)
Unique sites:
Li (0.0000, 0.1686, 0.0000) x4
Pa (0.0000, 0.5000, 0.0000) x2
Tl (0.0000, 0.0000, 0.5000) x2
Tl (0.0000, 0.3412, 0.5000) x4
Te (0.2357, 0.3342, 0.2185) x8
Te (0.2383, 0.0000, 0.2132) x4

Most intense lines, 2θ from 10° to 90°, sorted by position:
- (2 0 -2), d 3.172, rel. 54
- (1 3 1), d 3.169, rel. 100
- (1 3 -2), d 2.920, rel. 14
- (2 0 2), d 2.284, rel. 20
- (1 3 -3), d 2.278, rel. 37
- (3 3 -1), d 2.207, rel. 38
- (0 6 0), d 2.200, rel. 19
- (2 6 -2), d 1.808, rel. 20
- (4 0 -4), d 1.585, rel. 18
- (5 3 -3), d 1.400, rel. 17